Theoretical X-ray diffraction stick pattern of USnRu for a wavelength of 1.5418 Å, from a crystal structure in the Materials Project, relaxed with GGA-PBE.

The 10 most intense peaks (10° ≤ 2θ ≤ 90°), in order of rising 2θ:
Position (°2θ)	d/Å	Rel. int.
28.21	3.164	16
33.01	2.714	100
36.01	2.494	94
37.61	2.392	47
42.88	2.109	21
44.71	2.027	26
52.12	1.755	18
57.20	1.611	28
59.81	1.546	25
68.68	1.367	25

Structure:
```
USnRu
1.0
7.307 0.000 0.000
-3.653 6.328 0.000
0.000 0.000 4.054
U Sn Ru
3 3 3
Direct
0.000 0.417 0.000
0.417 0.000 0.000
0.583 0.583 0.000
0.000 0.748 0.500
0.252 0.252 0.500
0.748 0.000 0.500
0.000 0.000 0.000
0.333 0.667 0.500
0.667 0.333 0.500
```

---

Theoretical X-ray diffraction stick pattern of TaNi3 for a wavelength of 1.5418 Å, from a crystal structure in the Materials Project, relaxed with GGA-PBE.

The 10 most intense peaks (10° ≤ 2θ ≤ 90°), in order of rising 2θ:
Position (°2θ)	d/Å	Rel. int.
26.51	3.362	33
27.32	3.265	51
41.07	2.198	42
42.65	2.120	84
43.89	2.063	59
44.26	2.046	100
46.93	1.936	50
48.02	1.895	80
72.59	1.302	32
89.46	1.095	22

Structure:
```
TaNi3
1.0
4.540 0.000 0.000
0.000 5.117 0.000
-1.621 0.000 8.479
Ta Ni
4 12
Direct
0.112 0.250 0.378
0.290 0.250 0.872
0.710 0.750 0.128
0.888 0.750 0.622
0.132 0.750 0.376
0.205 0.001 0.123
0.205 0.499 0.123
0.299 0.750 0.874
0.386 0.503 0.627
0.386 0.997 0.627
0.614 0.003 0.373
0.614 0.497 0.373
0.701 0.250 0.126
0.795 0.501 0.877
0.795 0.999 0.877
0.868 0.250 0.624
```

---

Theoretical X-ray diffraction stick pattern of Be46Rh7 for a wavelength of 1.5418 Å, from a crystal structure in the Materials Project, relaxed with GGA-PBE.

The 10 most intense peaks (10° ≤ 2θ ≤ 90°), in order of rising 2θ:
Position (°2θ)	d/Å	Rel. int.
16.12	5.500	42
24.28	3.666	36
24.61	3.617	100
25.93	3.436	44
29.56	3.022	90
34.84	2.575	68
43.33	2.088	46
48.43	1.880	57
50.28	1.815	56
53.32	1.718	28

Structure:
```
Be46Rh7
1.0
4.177 0.000 0.000
-2.088 3.617 0.000
0.000 0.000 32.998
Be Rh
46 7
Direct
0.000 0.000 0.000
0.000 0.000 0.083
0.000 0.000 0.333
0.000 0.000 0.416
0.000 0.000 0.667
0.000 0.000 0.749
0.006 0.503 0.041
0.006 0.503 0.375
0.006 0.503 0.708
0.328 0.164 0.937
0.330 0.165 0.147
0.330 0.165 0.269
0.330 0.165 0.812
0.332 0.166 0.481
0.333 0.166 0.602
0.333 0.667 0.175
0.333 0.667 0.241
0.333 0.667 0.509
0.333 0.667 0.573
0.333 0.667 0.842
0.333 0.667 0.907
0.497 0.503 0.041
0.497 0.503 0.375
0.497 0.503 0.708
0.497 0.994 0.041
0.497 0.994 0.375
0.497 0.994 0.708
0.667 0.333 0.094
0.667 0.333 0.322
0.667 0.333 0.427
0.667 0.333 0.541
0.667 0.333 0.655
0.667 0.333 0.761
0.667 0.333 0.989
0.834 0.166 0.481
0.834 0.166 0.602
0.834 0.667 0.602
0.834 0.668 0.481
0.835 0.165 0.147
0.835 0.165 0.269
0.835 0.165 0.812
0.835 0.670 0.147
0.835 0.670 0.269
0.835 0.670 0.812
0.836 0.164 0.937
0.836 0.672 0.937
0.000 0.000 0.875
0.333 0.667 0.105
0.333 0.667 0.311
0.333 0.667 0.438
0.333 0.667 0.644
0.333 0.667 0.771
0.333 0.667 0.978
```

---

Theoretical X-ray diffraction stick pattern of La2Ga10Ni for a wavelength of 1.5418 Å, from a crystal structure in the Materials Project, relaxed with GGA-PBE.

The 10 most intense peaks (10° ≤ 2θ ≤ 90°), in order of rising 2θ:
Position (°2θ)	d/Å	Rel. int.
31.33	2.856	78
31.86	2.809	89
35.41	2.535	51
41.09	2.197	100
45.17	2.007	37
49.60	1.838	25
52.56	1.741	35
59.52	1.553	33
66.31	1.410	20
86.19	1.128	20

Structure:
```
La2Ga10Ni
1.0
-2.197 2.197 13.151
2.197 -2.197 13.151
2.197 2.197 -13.151
La Ga Ni
2 10 1
Direct
0.145 0.145 0.000
0.855 0.855 0.000
0.050 0.550 0.500
0.250 0.750 0.500
0.303 0.303 0.000
0.396 0.396 0.000
0.450 0.950 0.500
0.550 0.050 0.500
0.604 0.604 0.000
0.697 0.697 0.000
0.750 0.250 0.500
0.950 0.450 0.500
0.000 0.000 0.000
```

---

Theoretical X-ray diffraction stick pattern of Cs2LiErCl6 for a wavelength of 1.5418 Å, from a crystal structure in the Materials Project, relaxed with GGA-PBE.

The 10 most intense peaks (10° ≤ 2θ ≤ 90°), in order of rising 2θ:
Position (°2θ)	d/Å	Rel. int.
14.49	6.113	43
23.77	3.744	100
27.95	3.192	27
29.22	3.057	31
33.86	2.647	67
41.79	2.161	46
48.64	1.872	45
54.84	1.674	21
66.03	1.415	25
81.27	1.184	20

Structure:
```
Cs2LiErCl6
1.0
0.000 5.294 5.294
5.294 0.000 5.294
5.294 5.294 0.000
Cs Li Er Cl
2 1 1 6
Direct
0.250 0.250 0.250
0.750 0.750 0.750
0.000 0.000 0.000
0.500 0.500 0.500
0.252 0.252 0.748
0.252 0.748 0.252
0.252 0.748 0.748
0.748 0.252 0.252
0.748 0.252 0.748
0.748 0.748 0.252
```